# 1
The following is a theoretical powder diffraction line list of Rb2TlAsF6. It was derived from a cell relaxed with PBE, using copper Kα.
Kinematic intensities with the Lorentz-polarization factor, no thermal factor.

Top 6 peaks for 10° ≤ 2θ ≤ 80°, sorted by position:
2θ/deg, I/Imax
26.71, 100
38.13, 35
47.17, 41
55.03, 22
62.20, 21
75.35, 23

Crystal structure
```
data_Rb2TlAsF6
_chemical_formula_sum 'Rb8 Tl4 As4 F24'
_cell_length_a 9.440
_cell_length_b 9.440
_cell_length_c 9.440
_cell_angle_alpha 90.00
_cell_angle_beta 90.00
_cell_angle_gamma 90.00
_symmetry_space_group_name_H-M 'F m -3 m'
_symmetry_Int_Tables_number 225
_symmetry_space_group_name_Hall '-F 4 2 3'
loop_
_atom_site_label
_atom_site_type_symbol
_atom_site_fract_x
_atom_site_fract_y
_atom_site_fract_z
Rb1 Rb 0.250 0.250 0.250
Tl1 Tl 0.000 0.000 0.000
As1 As 0.000 0.000 0.500
F1 F 0.000 0.000 0.281
```

=====

# 2
The following is a theoretical powder diffraction line list of Tb5Ge4. It was derived from a cell relaxed with PBE, using copper Kα.
Kinematic intensities with the Lorentz-polarization factor, no thermal factor.

Top 6 peaks for 10° ≤ 2θ ≤ 80°, sorted by position:
2θ/deg, I/Imax
31.53, 100
31.66, 40
33.45, 43
33.61, 35
35.59, 53
37.10, 49

Crystal structure
```
data_Tb5Ge4
_chemical_formula_sum 'Tb20 Ge16'
_cell_length_a 7.699
_cell_length_b 14.788
_cell_length_c 7.776
_cell_angle_alpha 90.00
_cell_angle_beta 90.00
_cell_angle_gamma 90.00
_symmetry_space_group_name_H-M 'P n m a'
_symmetry_Int_Tables_number 62
loop_
_symmetry_equiv_pos_as_xyz
'x,y,z'
'-x,-y,-z'
'-x+1/2,-y,z+1/2'
'x+1/2,y,-z+1/2'
'x+1/2,-y+1/2,-z+1/2'
'-x+1/2,y+1/2,z+1/2'
'-x,y+1/2,-z'
'x,-y+1/2,z'
loop_
_atom_site_label
_atom_site_type_symbol
_atom_site_fract_x
_atom_site_fract_y
_atom_site_fract_z
Tb1 Tb 0.025 0.101 0.177
Tb2 Tb 0.123 0.617 0.340
Tb3 Tb 0.213 0.250 0.502
Ge1 Ge 0.083 0.250 0.884
Ge2 Ge 0.169 0.750 0.637
Ge3 Ge 0.219 0.044 0.533
```